No. 1
The following is a calculated powder X-ray diffraction pattern of CaNbAl4. It was derived from DFT lattice parameters and positions (PBE), using Cu Kα (λ = 1.5418 Å).
Peak positions follow from Bragg's law for the DFT cell and can differ from measured ones.

Crystal structure
Cell: 5.364 5.364 5.364 Å, 60.00 60.00 60.00°
Atoms (fractional coordinates):
Ca (0.000, 0.000, 0.000)
Nb (0.750, 0.750, 0.750)
Al (0.376, 0.376, 0.376)
Al (0.376, 0.376, 0.873)
Al (0.376, 0.873, 0.376)
Al (0.873, 0.376, 0.376)

Peak list (8 most intense, 2θ = 10–90°, by intensity)
d = 2.287 Å, I = 100; d = 2.682 Å, I = 62; d = 1.460 Å, I = 31; d = 4.379 Å, I = 25; d = 1.548 Å, I = 22; d = 1.341 Å, I = 21; d = 2.190 Å, I = 17; d = 3.793 Å, I = 11

No. 2
The following is a calculated powder X-ray diffraction pattern of Sr2ScTePt. It was derived from DFT lattice parameters and positions (PBE), using Cu Kα (λ = 1.5418 Å).
Peak positions follow from Bragg's law for the DFT cell and can differ from measured ones.

Crystal structure
Cell: 5.922 5.922 5.010 Å, 90.00 90.00 90.00°
Atoms (fractional coordinates):
Sr (0.000, 0.500, 0.000)
Sr (0.500, 0.000, 0.000)
Sc (0.000, 0.000, 0.500)
Te (0.500, 0.500, 0.500)
Pt (0.000, 0.000, 0.000)

Peak list (8 most intense, 2θ = 10–90°, by intensity)
d = 2.961 Å, I = 100; d = 3.825 Å, I = 96; d = 1.912 Å, I = 56; d = 2.341 Å, I = 53; d = 1.607 Å, I = 41; d = 2.094 Å, I = 37; d = 2.505 Å, I = 32; d = 1.171 Å, I = 29

No. 3
The following is a calculated powder X-ray diffraction pattern of CsCd2Te2. It was derived from DFT lattice parameters and positions (PBE), using Cu Kα (λ = 1.5418 Å).
Peak positions follow from Bragg's law for the DFT cell and can differ from measured ones.

Crystal structure
Cell: 7.959 7.959 7.904 Å, 108.34 108.34 106.13°
Atoms (fractional coordinates):
Cs (0.127, 0.873, 0.750)
Cs (0.873, 0.127, 0.250)
Cd (0.229, 0.474, 0.991)
Cd (0.474, 0.229, 0.491)
Cd (0.526, 0.771, 0.509)
Cd (0.771, 0.526, 0.009)
Te (0.183, 0.817, 0.250)
Te (0.432, 0.568, 0.750)
Te (0.568, 0.432, 0.250)
Te (0.817, 0.183, 0.750)

Peak list (8 most intense, 2θ = 10–90°, by intensity)
d = 3.724 Å, I = 100; d = 2.991 Å, I = 97; d = 2.878 Å, I = 73; d = 4.075 Å, I = 68; d = 3.181 Å, I = 58; d = 2.380 Å, I = 58; d = 1.937 Å, I = 49; d = 2.288 Å, I = 47

No. 4
The following is a calculated powder X-ray diffraction pattern of LaBiH3. It was derived from DFT lattice parameters and positions (PBE), using Cu Kα (λ = 1.5418 Å).
Peak positions follow from Bragg's law for the DFT cell and can differ from measured ones.

Crystal structure
Cell: 4.394 4.394 4.394 Å, 90.00 90.00 90.00°
Atoms (fractional coordinates):
La (0.000, 0.000, 0.000)
Bi (0.500, 0.500, 0.500)
H (0.000, 0.000, 0.500)
H (0.000, 0.500, 0.000)
H (0.500, 0.000, 0.000)

Peak list (8 most intense, 2θ = 10–90°, by intensity)
d = 3.107 Å, I = 100; d = 1.794 Å, I = 42; d = 1.174 Å, I = 22; d = 2.197 Å, I = 20; d = 1.390 Å, I = 18; d = 1.554 Å, I = 14; d = 1.268 Å, I = 5; d = 4.394 Å, I = 4

No. 5
The following is a calculated powder X-ray diffraction pattern of AgBCl4. It was derived from DFT lattice parameters and positions (PBE), using Cu Kα (λ = 1.5418 Å).
Peak positions follow from Bragg's law for the DFT cell and can differ from measured ones.

Crystal structure
Cell: 6.178 6.178 8.549 Å, 90.00 90.00 90.79°
Atoms (fractional coordinates):
Ag (0.213, 0.787, 0.750)
Ag (0.787, 0.213, 0.250)
B (0.321, 0.321, 0.000)
B (0.679, 0.679, 0.500)
Cl (0.181, 0.222, 0.821)
Cl (0.222, 0.181, 0.179)
Cl (0.272, 0.618, 0.021)
Cl (0.382, 0.728, 0.479)
Cl (0.618, 0.272, 0.979)
Cl (0.728, 0.382, 0.521)
Cl (0.778, 0.819, 0.679)
Cl (0.819, 0.778, 0.321)

Peak list (8 most intense, 2θ = 10–90°, by intensity)
d = 5.007 Å, I = 100; d = 3.089 Å, I = 47; d = 2.588 Å, I = 29; d = 3.515 Å, I = 20; d = 2.616 Å, I = 19; d = 2.329 Å, I = 16; d = 4.338 Å, I = 15; d = 2.503 Å, I = 14

No. 6
The following is a calculated powder X-ray diffraction pattern of Li6In3Sn. It was derived from DFT lattice parameters and positions (PBE), using Cu Kα (λ = 1.5418 Å).
Peak positions follow from Bragg's law for the DFT cell and can differ from measured ones.

Crystal structure
Cell: 8.101 4.789 10.697 Å, 90.00 111.64 90.00°
Atoms (fractional coordinates):
Li (0.013, 0.250, 0.162)
Li (0.180, 0.750, 0.626)
Li (0.191, 0.250, 0.973)
Li (0.391, 0.750, 0.424)
Li (0.401, 0.250, 0.772)
Li (0.408, 0.250, 0.269)
Li (0.592, 0.750, 0.731)
Li (0.599, 0.750, 0.228)
Li (0.609, 0.250, 0.576)
Li (0.809, 0.750, 0.027)
Li (0.820, 0.250, 0.374)
Li (0.987, 0.750, 0.838)
In (0.009, 0.250, 0.674)
In (0.226, 0.250, 0.478)
In (0.387, 0.750, 0.919)
In (0.613, 0.250, 0.081)
In (0.774, 0.750, 0.522)
In (0.991, 0.750, 0.326)
Sn (0.213, 0.750, 0.136)
Sn (0.787, 0.250, 0.864)

Peak list (8 most intense, 2θ = 10–90°, by intensity)
d = 3.510 Å, I = 100; d = 2.333 Å, I = 83; d = 3.124 Å, I = 45; d = 2.395 Å, I = 27; d = 5.157 Å, I = 25; d = 2.271 Å, I = 25; d = 1.901 Å, I = 22; d = 1.837 Å, I = 20